[1]
For CsCa2Tc, DFT lattice parameters and positions (PBE) gives the simulated X-ray powder pattern in this record (Cu Kα).
Lines closer than 0.1° are merged.

Peak list (10 most intense, 15° ≤ 2θ ≤ 90°, most intense first)
Position (°2θ), Rel. int.
21.9, 100.0
38.4, 45.6
44.6, 27.2
60.3, 23.9
50.2, 20.8
25.7, 10.1
86.4, 8.9
82.2, 8.7
31.1, 8.1
69.4, 6.5

Atomic structure:
```
data_CsCa2Tc
_cell_length_a 8.128
_cell_length_b 8.128
_cell_length_c 8.128
_cell_angle_alpha 120.06
_cell_angle_beta 120.06
_cell_angle_gamma 89.89
_symmetry_space_group_name_H-M 'P 1'
_symmetry_Int_Tables_number 1
loop_
_symmetry_equiv_pos_as_xyz
'x,y,z'
loop_
_atom_site_label
_atom_site_fract_x
_atom_site_fract_y
_atom_site_fract_z
Cs1 0.375 0.625 0.750
Cs2 0.625 0.375 0.250
Ca1 0.000 0.000 0.000
Ca2 0.000 0.000 0.500
Ca3 0.000 0.500 0.000
Ca4 0.500 0.000 0.500
Tc1 0.125 0.875 0.250
Tc2 0.875 0.125 0.750
```

[2]
For CsCaTl5, DFT lattice parameters and positions (PBE) gives the simulated X-ray powder pattern in this record (Cu Kα).
Lines closer than 0.1° are merged.

Peak list (10 most intense, 15° ≤ 2θ ≤ 90°, most intense first)
Position (°2θ), Rel. int.
30.9, 100.0
38.4, 30.6
64.8, 24.5
49.5, 20.4
30.0, 20.1
35.3, 15.7
24.1, 12.1
53.8, 11.1
18.9, 10.8
55.4, 10.7

Atomic structure:
```
data_CsCaTl5
_cell_length_a 4.692
_cell_length_b 4.692
_cell_length_c 11.914
_cell_angle_alpha 90.00
_cell_angle_beta 90.00
_cell_angle_gamma 90.00
_symmetry_space_group_name_H-M 'P 1'
_symmetry_Int_Tables_number 1
loop_
_symmetry_equiv_pos_as_xyz
'x,y,z'
loop_
_atom_site_label
_atom_site_fract_x
_atom_site_fract_y
_atom_site_fract_z
Cs1 0.000 0.000 0.000
Ca1 0.500 0.500 0.500
Tl1 0.000 0.000 0.500
Tl2 0.000 0.500 0.279
Tl3 0.000 0.500 0.721
Tl4 0.500 0.000 0.279
Tl5 0.500 0.000 0.721
```

[3]
For CaCu, DFT lattice parameters and positions (PBE) gives the simulated X-ray powder pattern in this record (Cu Kα).
Lines closer than 0.1° are merged.

Peak list (10 most intense, 15° ≤ 2θ ≤ 90°, most intense first)
Position (°2θ), Rel. int.
39.4, 100.0
31.2, 63.8
42.8, 37.3
32.9, 30.6
22.8, 20.3
16.3, 19.0
32.7, 18.9
55.0, 18.6
39.1, 17.7
18.4, 13.4

Atomic structure:
```
data_CaCu
_cell_length_a 5.811
_cell_length_b 4.225
_cell_length_c 19.548
_cell_angle_alpha 90.00
_cell_angle_beta 94.37
_cell_angle_gamma 90.00
_symmetry_space_group_name_H-M 'P 1'
_symmetry_Int_Tables_number 1
loop_
_symmetry_equiv_pos_as_xyz
'x,y,z'
loop_
_atom_site_label
_atom_site_fract_x
_atom_site_fract_y
_atom_site_fract_z
Ca1 0.048 0.250 0.172
Ca2 0.150 0.750 0.629
Ca3 0.260 0.750 0.028
Ca4 0.358 0.750 0.428
Ca5 0.438 0.250 0.772
Ca6 0.562 0.750 0.228
Ca7 0.642 0.250 0.572
Ca8 0.740 0.250 0.972
Ca9 0.850 0.250 0.371
Ca10 0.952 0.750 0.828
Cu1 0.096 0.750 0.287
Cu2 0.109 0.250 0.512
Cu3 0.244 0.250 0.912
Cu4 0.316 0.250 0.312
Cu5 0.451 0.750 0.888
Cu6 0.549 0.250 0.112
Cu7 0.684 0.750 0.688
Cu8 0.756 0.750 0.088
Cu9 0.891 0.750 0.488
Cu10 0.904 0.250 0.713
```

[4]
For Ca3Cu4, DFT lattice parameters and positions (PBE) gives the simulated X-ray powder pattern in this record (Cu Kα).
Lines closer than 0.1° are merged.

Peak list (10 most intense, 15° ≤ 2θ ≤ 90°, most intense first)
Position (°2θ), Rel. int.
42.9, 100.0
38.9, 93.4
35.2, 74.0
39.6, 67.7
21.4, 46.8
59.8, 46.3
33.2, 45.6
33.9, 44.7
46.6, 42.7
18.0, 41.9

Atomic structure:
```
data_Ca3Cu4
_cell_length_a 5.688
_cell_length_b 5.688
_cell_length_c 13.472
_cell_angle_alpha 90.00
_cell_angle_beta 90.00
_cell_angle_gamma 136.55
_symmetry_space_group_name_H-M 'P 1'
_symmetry_Int_Tables_number 1
loop_
_symmetry_equiv_pos_as_xyz
'x,y,z'
loop_
_atom_site_label
_atom_site_fract_x
_atom_site_fract_y
_atom_site_fract_z
Ca1 0.008 0.992 0.750
Ca2 0.279 0.721 0.104
Ca3 0.279 0.721 0.396
Ca4 0.721 0.279 0.604
Ca5 0.721 0.279 0.896
Ca6 0.992 0.008 0.250
Cu1 0.000 0.000 0.000
Cu2 0.000 0.000 0.500
Cu3 0.313 0.687 0.750
Cu4 0.435 0.565 0.585
Cu5 0.435 0.565 0.915
Cu6 0.565 0.435 0.085
Cu7 0.565 0.435 0.415
Cu8 0.687 0.313 0.250
```

[5]
For Ca4Cu3, DFT lattice parameters and positions (PBE) gives the simulated X-ray powder pattern in this record (Cu Kα).
Lines closer than 0.1° are merged.

Peak list (10 most intense, 15° ≤ 2θ ≤ 90°, most intense first)
Position (°2θ), Rel. int.
30.4, 100.0
43.6, 70.7
71.9, 27.9
54.1, 23.7
80.0, 20.2
15.1, 18.1
21.4, 16.2
63.3, 10.5
34.1, 9.9
37.5, 7.6

Atomic structure:
```
data_Ca4Cu3
_cell_length_a 5.875
_cell_length_b 5.875
_cell_length_c 5.875
_cell_angle_alpha 90.00
_cell_angle_beta 90.00
_cell_angle_gamma 90.00
_symmetry_space_group_name_H-M 'P 1'
_symmetry_Int_Tables_number 1
loop_
_symmetry_equiv_pos_as_xyz
'x,y,z'
loop_
_atom_site_label
_atom_site_fract_x
_atom_site_fract_y
_atom_site_fract_z
Ca1 0.000 0.000 0.000
Ca2 0.000 0.500 0.500
Ca3 0.500 0.000 0.500
Ca4 0.500 0.500 0.000
Cu1 0.000 0.000 0.500
Cu2 0.000 0.500 0.000
Cu3 0.500 0.000 0.000
```

[6]
For CaCu12, DFT lattice parameters and positions (PBE) gives the simulated X-ray powder pattern in this record (Cu Kα).
Lines closer than 0.1° are merged.

Peak list (10 most intense, 15° ≤ 2θ ≤ 90°, most intense first)
Position (°2θ), Rel. int.
48.3, 100.0
42.6, 98.2
43.0, 82.5
42.5, 79.9
47.9, 58.7
47.8, 54.2
36.7, 36.8
78.1, 23.9
20.9, 22.3
77.8, 22.0

Atomic structure:
```
data_CaCu12
_cell_length_a 6.490
_cell_length_b 6.490
_cell_length_c 6.490
_cell_angle_alpha 97.97
_cell_angle_beta 97.97
_cell_angle_gamma 136.27
_symmetry_space_group_name_H-M 'P 1'
_symmetry_Int_Tables_number 1
loop_
_symmetry_equiv_pos_as_xyz
'x,y,z'
loop_
_atom_site_label
_atom_site_fract_x
_atom_site_fract_y
_atom_site_fract_z
Ca1 0.000 0.000 0.000
Cu1 0.000 0.000 0.500
Cu2 0.000 0.356 0.356
Cu3 0.000 0.500 0.000
Cu4 0.000 0.644 0.644
Cu5 0.274 0.500 0.774
Cu6 0.356 0.000 0.356
Cu7 0.500 0.000 0.000
Cu8 0.500 0.274 0.774
Cu9 0.500 0.500 0.500
Cu10 0.500 0.726 0.226
Cu11 0.644 0.000 0.644
Cu12 0.726 0.500 0.226
```

[7]
For CaCu, DFT lattice parameters and positions (PBE) gives the simulated X-ray powder pattern in this record (Cu Kα).
Lines closer than 0.1° are merged.

Peak list (10 most intense, 15° ≤ 2θ ≤ 90°, most intense first)
Position (°2θ), Rel. int.
34.5, 100.0
36.6, 97.0
43.4, 73.5
64.5, 37.9
38.4, 35.6
52.7, 31.5
70.5, 30.5
51.0, 20.8
34.4, 17.5
89.0, 12.5

Atomic structure:
```
data_CaCu
_cell_length_a 3.477
_cell_length_b 3.477
_cell_length_c 7.827
_cell_angle_alpha 90.00
_cell_angle_beta 90.00
_cell_angle_gamma 90.00
_symmetry_space_group_name_H-M 'P 1'
_symmetry_Int_Tables_number 1
loop_
_symmetry_equiv_pos_as_xyz
'x,y,z'
loop_
_atom_site_label
_atom_site_fract_x
_atom_site_fract_y
_atom_site_fract_z
Ca1 0.250 0.250 0.200
Ca2 0.750 0.750 0.800
Cu1 0.250 0.250 0.562
Cu2 0.750 0.750 0.438
```

[8]
For CaCu, DFT lattice parameters and positions (PBE) gives the simulated X-ray powder pattern in this record (Cu Kα).
Lines closer than 0.1° are merged.

Peak list (10 most intense, 15° ≤ 2θ ≤ 90°, most intense first)
Position (°2θ), Rel. int.
39.3, 100.0
19.1, 73.3
34.9, 68.3
31.3, 45.1
38.1, 43.4
42.6, 34.1
32.9, 29.9
57.4, 25.6
58.5, 22.5
22.9, 20.2

Atomic structure:
```
data_CaCu
_cell_length_a 7.754
_cell_length_b 4.242
_cell_length_c 5.816
_cell_angle_alpha 90.00
_cell_angle_beta 90.00
_cell_angle_gamma 90.00
_symmetry_space_group_name_H-M 'P 1'
_symmetry_Int_Tables_number 1
loop_
_symmetry_equiv_pos_as_xyz
'x,y,z'
loop_
_atom_site_label
_atom_site_fract_x
_atom_site_fract_y
_atom_site_fract_z
Ca1 0.179 0.250 0.125
Ca2 0.321 0.750 0.625
Ca3 0.679 0.250 0.375
Ca4 0.821 0.750 0.875
Cu1 0.030 0.250 0.606
Cu2 0.470 0.750 0.106
Cu3 0.530 0.250 0.894
Cu4 0.970 0.750 0.394
```

[9]
For CaCu11, DFT lattice parameters and positions (PBE) gives the simulated X-ray powder pattern in this record (Cu Kα).
Lines closer than 0.1° are merged.

Peak list (10 most intense, 15° ≤ 2θ ≤ 90°, most intense first)
Position (°2θ), Rel. int.
47.3, 100.0
39.5, 60.8
40.2, 53.2
49.2, 40.4
46.2, 35.5
42.3, 25.4
16.1, 24.1
17.7, 23.8
45.5, 21.5
35.0, 18.6

Atomic structure:
```
data_CaCu11
_cell_length_a 7.821
_cell_length_b 7.821
_cell_length_c 7.821
_cell_angle_alpha 100.13
_cell_angle_beta 100.13
_cell_angle_gamma 130.42
_symmetry_space_group_name_H-M 'P 1'
_symmetry_Int_Tables_number 1
loop_
_symmetry_equiv_pos_as_xyz
'x,y,z'
loop_
_atom_site_label
_atom_site_fract_x
_atom_site_fract_y
_atom_site_fract_z
Ca1 0.375 0.625 0.750
Ca2 0.625 0.375 0.250
Cu1 0.000 0.000 0.000
Cu2 0.000 0.000 0.500
Cu3 0.000 0.500 0.000
Cu4 0.125 0.875 0.250
Cu5 0.139 0.560 0.333
Cu6 0.139 0.806 0.579
Cu7 0.194 0.273 0.333
Cu8 0.194 0.861 0.921
Cu9 0.273 0.194 0.833
Cu10 0.273 0.440 0.079
Cu11 0.440 0.273 0.579
Cu12 0.440 0.861 0.167
Cu13 0.500 0.000 0.500
Cu14 0.560 0.139 0.833
Cu15 0.560 0.727 0.421
Cu16 0.727 0.560 0.921
Cu17 0.727 0.806 0.167
Cu18 0.806 0.139 0.079
Cu19 0.806 0.727 0.667
Cu20 0.861 0.194 0.421
Cu21 0.861 0.440 0.667
Cu22 0.875 0.125 0.750
```

[10]
For Ca3Cu, DFT lattice parameters and positions (PBE) gives the simulated X-ray powder pattern in this record (Cu Kα).
Lines closer than 0.1° are merged.

Peak list (10 most intense, 15° ≤ 2θ ≤ 90°, most intense first)
Position (°2θ), Rel. int.
31.6, 100.0
26.3, 37.3
46.4, 27.6
37.3, 26.0
44.1, 22.3
57.2, 16.2
76.6, 12.6
73.3, 10.1
17.2, 9.3
59.3, 7.3

Atomic structure:
```
data_Ca3Cu
_cell_length_a 3.915
_cell_length_b 3.915
_cell_length_c 10.311
_cell_angle_alpha 90.00
_cell_angle_beta 90.00
_cell_angle_gamma 120.00
_symmetry_space_group_name_H-M 'P 1'
_symmetry_Int_Tables_number 1
loop_
_symmetry_equiv_pos_as_xyz
'x,y,z'
loop_
_atom_site_label
_atom_site_fract_x
_atom_site_fract_y
_atom_site_fract_z
Ca1 0.000 0.000 0.000
Ca2 0.333 0.667 0.315
Ca3 0.333 0.667 0.685
Cu1 0.000 0.000 0.500
```

[11]
For CaDyCu2, DFT lattice parameters and positions (PBE) gives the simulated X-ray powder pattern in this record (Cu Kα).
Lines closer than 0.1° are merged.

Peak list (10 most intense, 15° ≤ 2θ ≤ 90°, most intense first)
Position (°2θ), Rel. int.
36.0, 100.0
64.8, 31.1
51.9, 16.4
46.4, 11.5
38.3, 11.0
87.6, 9.9
76.4, 9.1
28.3, 8.8
72.2, 6.1
25.3, 5.2

Atomic structure:
```
data_CaDyCu2
_cell_length_a 3.523
_cell_length_b 3.523
_cell_length_c 7.054
_cell_angle_alpha 90.00
_cell_angle_beta 90.00
_cell_angle_gamma 90.00
_symmetry_space_group_name_H-M 'P 1'
_symmetry_Int_Tables_number 1
loop_
_symmetry_equiv_pos_as_xyz
'x,y,z'
loop_
_atom_site_label
_atom_site_fract_x
_atom_site_fract_y
_atom_site_fract_z
Ca1 0.000 0.000 0.000
Dy1 0.000 0.000 0.500
Cu1 0.500 0.500 0.282
Cu2 0.500 0.500 0.718
```

[12]
For CaDy3Cu4, DFT lattice parameters and positions (PBE) gives the simulated X-ray powder pattern in this record (Cu Kα).
Lines closer than 0.1° are merged.

Peak list (10 most intense, 15° ≤ 2θ ≤ 90°, most intense first)
Position (°2θ), Rel. int.
36.5, 100.0
65.6, 22.8
25.6, 11.8
52.5, 11.6
65.8, 11.1
88.8, 10.2
77.6, 6.8
52.7, 5.5
22.1, 5.1
89.1, 4.7

Atomic structure:
```
data_CaDy3Cu4
_cell_length_a 4.930
_cell_length_b 4.930
_cell_length_c 6.949
_cell_angle_alpha 90.00
_cell_angle_beta 90.00
_cell_angle_gamma 90.00
_symmetry_space_group_name_H-M 'P 1'
_symmetry_Int_Tables_number 1
loop_
_symmetry_equiv_pos_as_xyz
'x,y,z'
loop_
_atom_site_label
_atom_site_fract_x
_atom_site_fract_y
_atom_site_fract_z
Ca1 0.000 0.000 0.000
Dy1 0.000 0.000 0.500
Dy2 0.500 0.500 0.000
Dy3 0.500 0.500 0.500
Cu1 0.000 0.500 0.262
Cu2 0.000 0.500 0.738
Cu3 0.500 0.000 0.262
Cu4 0.500 0.000 0.738
```

[13]
For CaDyCu2S4, DFT lattice parameters and positions (PBE) gives the simulated X-ray powder pattern in this record (Cu Kα).
Lines closer than 0.1° are merged.

Peak list (10 most intense, 15° ≤ 2θ ≤ 90°, most intense first)
Position (°2θ), Rel. int.
30.8, 100.0
50.2, 53.1
38.6, 48.9
18.0, 44.5
27.1, 27.2
32.7, 22.3
64.2, 19.4
36.5, 18.6
55.8, 14.9
49.1, 11.9

Atomic structure:
```
data_CaDyCu2S4
_cell_length_a 5.954
_cell_length_b 5.954
_cell_length_c 5.954
_cell_angle_alpha 112.81
_cell_angle_beta 112.81
_cell_angle_gamma 102.98
_symmetry_space_group_name_H-M 'P 1'
_symmetry_Int_Tables_number 1
loop_
_symmetry_equiv_pos_as_xyz
'x,y,z'
loop_
_atom_site_label
_atom_site_fract_x
_atom_site_fract_y
_atom_site_fract_z
Ca1 0.000 0.000 0.000
Dy1 0.500 0.500 0.000
Cu1 0.250 0.750 0.500
Cu2 0.750 0.250 0.500
S1 0.044 0.491 0.000
S2 0.491 0.044 0.000
S3 0.509 0.509 0.553
S4 0.956 0.956 0.447
```